Record 1
# ZrAl2Ru3
Simulated X-ray powder pattern, Cu Kα. Input: a PBE-relaxed structure.

Atomic structure:
abc: 3.141 3.141 9.109
angles: 90.00 90.00 90.00
Sites, in units of the cell vectors:
1 Zr 0.000 0.000 0.000
2 Al 0.000 0.000 0.343
3 Al 0.000 0.000 0.657
4 Ru 0.500 0.500 0.181
5 Ru 0.500 0.500 0.500
6 Ru 0.500 0.500 0.819

Main lines, low angle first (2θ = 15–90°):
d 3.141, intensity 18
d 3.036, intensity 8
d 2.969, intensity 8
d 2.585, intensity 8
d 2.221, intensity 55
d 2.183, intensity 100
d 1.570, intensity 18
d 1.275, intensity 34
d 1.253, intensity 14
d 1.091, intensity 10

Record 2
# AlS4
Simulated X-ray powder pattern, Cu Kα. Input: a PBE-relaxed structure.

Atomic structure:
abc: 6.253 3.625 8.703
angles: 90.00 104.00 90.00
Sites, in units of the cell vectors:
1 Al 0.000 0.000 0.000
2 Al 0.500 0.500 0.000
3 S 0.117 0.500 0.849
4 S 0.142 0.000 0.571
5 S 0.358 0.500 0.429
6 S 0.383 0.000 0.151
7 S 0.617 0.000 0.849
8 S 0.642 0.500 0.571
9 S 0.858 0.000 0.429
10 S 0.883 0.500 0.151

Main lines, low angle first (2θ = 15–90°):
d 4.222, intensity 18
d 2.811, intensity 21
d 2.668, intensity 100
d 2.658, intensity 34
d 1.970, intensity 30
d 1.857, intensity 9
d 1.813, intensity 16
d 1.807, intensity 22
d 1.497, intensity 10
d 1.413, intensity 13

Record 3
# Al2S3
Simulated X-ray powder pattern, Cu Kα. Input: a PBE-relaxed structure.

Atomic structure:
abc: 15.887 15.887 15.887
angles: 154.22 154.22 36.78
Sites, in units of the cell vectors:
1 Al 0.000 0.000 0.000
2 Al 0.000 0.000 0.500
3 Al 0.000 0.500 0.000
4 Al 0.148 0.668 0.479
5 Al 0.205 0.455 0.750
6 Al 0.311 0.332 0.979
7 Al 0.332 0.311 0.479
8 Al 0.332 0.852 0.021
9 Al 0.455 0.205 0.250
10 Al 0.500 0.000 0.500
11 Al 0.545 0.795 0.750
12 Al 0.668 0.148 0.979
13 Al 0.668 0.689 0.521
14 Al 0.689 0.668 0.021
15 Al 0.795 0.545 0.250
16 Al 0.852 0.332 0.521
17 S 0.078 0.091 0.513
18 S 0.078 0.565 0.987
19 S 0.091 0.078 0.013
20 S 0.107 0.587 0.520
21 S 0.242 0.750 0.493
22 S 0.243 0.250 0.993
23 S 0.250 0.243 0.493
24 S 0.250 0.758 0.007
25 S 0.413 0.433 0.520
26 S 0.413 0.893 0.980
27 S 0.433 0.413 0.020
28 S 0.435 0.922 0.513
29 S 0.565 0.078 0.487
30 S 0.567 0.587 0.980
31 S 0.587 0.107 0.020
32 S 0.587 0.567 0.480
33 S 0.750 0.242 0.993
34 S 0.750 0.757 0.507
35 S 0.757 0.750 0.007
36 S 0.758 0.250 0.507
37 S 0.893 0.413 0.480
38 S 0.909 0.922 0.987
39 S 0.922 0.435 0.013
40 S 0.922 0.909 0.487

Main lines, low angle first (2θ = 15–90°):
d 5.792, intensity 28
d 3.025, intensity 33
d 2.896, intensity 46
d 2.508, intensity 100
d 1.934, intensity 9
d 1.929, intensity 16
d 1.774, intensity 91
d 1.448, intensity 19
d 1.253, intensity 9
d 1.121, intensity 16

- Which formula does entry 1 have?
  ZrAl2Ru3

- What is the formula in the first record?
  ZrAl2Ru3